(1)
Structure and simulated X-ray diffraction stick pattern of Tl2Ni3AgF12 (the GGA+U geometry in Alexandria; copper Kα).

Main lines, by angle (2θ = 10–90°):
| 2θ/deg | I (rel.) | index |
| --- | --- | --- |
| 24.2 | 100 | 1 1 0 |
| 28.7 | 80 | 0 2 1 |
| 30.2 | 85 | 1 1 3 |
| 33.0 | 70 | 0 1 5 |
| 48.5 | 64 | 1 2 5 |
| 49.6 | 64 | 2 2 0 |

Cell and atoms:
a = 7.3536 Å, b = 7.3536 Å, c = 14.9845 Å
α = 90.00°, β = 90.00°, γ = 120.00°
Space group R-3m (No. 166, hexagonal axes)
One atom of each set of equivalent atoms:
Tl 0.0000 0.0000 0.1039 (multiplicity 6)
Ni 0.0000 0.5000 0.0000 (multiplicity 9)
Ag 0.0000 0.0000 0.5000 (multiplicity 3)
F 0.0597 0.5299 0.3062 (multiplicity 18)
F 0.0722 0.5361 0.8695 (multiplicity 18)

(2)
Structure and simulated X-ray diffraction stick pattern of Tl4Ni3AgF12 (the GGA+U geometry in Alexandria; copper Kα).

Main lines, by angle (2θ = 10–90°):
| 2θ/deg | I (rel.) | index |
| --- | --- | --- |
| 29.9 | 100 | 2 2 0 |
| 36.9 | 19 | 2 2 2 |
| 42.9 | 32 | 4 0 0 |
| 53.2 | 41 | 4 2 2 |
| 62.2 | 20 | 4 4 0 |
| 86.2 | 22 | 6 4 2 |

Cell and atoms:
a = 8.4411 Å, b = 8.4411 Å, c = 8.4411 Å
α = 90.00°, β = 90.00°, γ = 90.00°
Space group Im-3m (No. 229)
One atom of each set of equivalent atoms:
Tl 0.2500 0.2500 0.2500 (multiplicity 8)
Ni 0.0000 0.0000 0.5000 (multiplicity 6)
Ag 0.0000 0.0000 0.0000 (multiplicity 2)
F 0.0000 0.0000 0.2671 (multiplicity 12)
F 0.0000 0.2500 0.5000 (multiplicity 12)

(3)
Structure and simulated X-ray diffraction stick pattern of Tl2NiAgF6 (the GGA+U geometry in Alexandria; copper Kα).

Main lines, by angle (2θ = 10–90°):
| 2θ/deg | I (rel.) | index |
| --- | --- | --- |
| 29.0 | 100 | 1 1 1 |
| 30.0 | 45 | 0 2 0 |
| 36.2 | 22 | 2 2 0 |
| 43.0 | 28 | 2 2 -2 |
| 50.8 | 21 | 4 2 0 |
| 52.7 | 39 | 1 3 1 |

Cell and atoms:
a = 10.8084 Å, b = 5.9481 Å, c = 5.9475 Å
α = 90.00°, β = 123.37°, γ = 90.00°
Space group C2/m (No. 12)
One atom of each set of equivalent atoms:
Tl 0.2500 0.0000 0.2501 (multiplicity 4)
Ni 0.0000 0.0000 0.5000 (multiplicity 2)
Ag 0.0000 0.5000 0.0000 (multiplicity 2)
F 0.9995 0.2416 0.2579 (multiplicity 8)
F 0.2191 0.0000 0.7180 (multiplicity 4)

(4)
Structure and simulated X-ray diffraction stick pattern of TmNiAgF6 (the GGA+U geometry in Alexandria; copper Kα).

Main lines, by angle (2θ = 10–90°):
| 2θ/deg | I (rel.) | index |
| --- | --- | --- |
| 20.2 | 21 | 1 0 1 |
| 25.4 | 100 | 1 0 2 |
| 31.8 | 43 | 1 1 0 |
| 41.1 | 25 | 2 0 2 |
| 48.4 | 49 | 1 1 4 |
| 52.8 | 25 | 2 1 2 |

Cell and atoms:
a = 5.6350 Å, b = 5.6350 Å, c = 10.0968 Å
α = 90.00°, β = 90.00°, γ = 120.00°
Space group P-31c (No. 163)
One atom of each set of equivalent atoms:
Tm 0.3333 0.6667 0.2500 (multiplicity 2)
Ni 0.3333 0.6667 0.7500 (multiplicity 2)
Ag 0.0000 0.0000 0.0000 (multiplicity 2)
F 0.0158 0.3761 0.6413 (multiplicity 12)